Calculated powder diffractogram
Compound: VPb2N3
Radiation: copper Kα
Structure: a DFT-relaxed cell (GGA-PBE, the Materials Project)

Main lines, in order of rising 2θ (2θ = 5–70°):
| 2θ/deg | I (rel.) |
| --- | --- |
| 23.4 | 440 |
| 23.5 | 456 |
| 28.8 | 1000 |
| 31.1 | 246 |
| 33.7 | 274 |
| 35.4 | 148 |
| 39.3 | 167 |
| 41.4 | 205 |
| 46.5 | 158 |
| 47.9 | 360 |
| 50.9 | 148 |
| 57.3 | 161 |

Crystal structure
Unit cell a=8.135 b=8.135 c=5.320 alpha=90.00 beta=90.00 gamma=41.43
Element x y z (fractional)
V 0.174 0.826 0.500
V 0.826 0.174 0.000
Pb 0.151 0.573 0.982
Pb 0.427 0.849 0.982
Pb 0.573 0.151 0.482
Pb 0.849 0.427 0.482
N 0.129 0.871 0.853
N 0.229 0.578 0.416
N 0.422 0.771 0.416
N 0.578 0.229 0.916
N 0.771 0.422 0.916
N 0.871 0.129 0.353

***

Calculated powder diffractogram
Compound: VPb4N4
Radiation: copper Kα
Structure: a DFT-relaxed cell (GGA-PBE, the Materials Project)

Main lines, in order of rising 2θ (2θ = 5–70°):
| 2θ/deg | I (rel.) |
| --- | --- |
| 19.0 | 200 |
| 24.9 | 1000 |
| 28.7 | 542 |
| 29.5 | 593 |
| 31.1 | 252 |
| 32.2 | 605 |
| 33.2 | 391 |
| 33.7 | 567 |
| 35.1 | 275 |
| 35.4 | 397 |
| 42.2 | 214 |
| 50.1 | 245 |

Crystal structure
Unit cell a=6.514 b=7.553 c=8.699 alpha=72.66 beta=86.86 gamma=73.03
Element x y z (fractional)
V 0.221 0.246 0.257
V 0.779 0.754 0.743
Pb 0.160 0.385 0.864
Pb 0.223 0.597 0.415
Pb 0.272 0.002 0.607
Pb 0.310 0.732 0.004
Pb 0.690 0.268 0.996
Pb 0.728 0.998 0.393
Pb 0.777 0.403 0.585
Pb 0.840 0.615 0.136
N 0.007 0.700 0.888
N 0.099 0.329 0.430
N 0.372 0.998 0.343
N 0.396 0.392 0.155
N 0.604 0.608 0.845
N 0.628 0.002 0.657
N 0.901 0.671 0.570
N 0.993 0.300 0.112

***

Calculated powder diffractogram
Compound: Y2Pb3N4
Radiation: copper Kα
Structure: a DFT-relaxed cell (GGA-PBE, the Materials Project)

Main lines, in order of rising 2θ (2θ = 5–70°):
| 2θ/deg | I (rel.) |
| --- | --- |
| 11.8 | 407 |
| 18.1 | 251 |
| 21.4 | 234 |
| 26.3 | 286 |
| 26.7 | 1000 |
| 28.2 | 470 |
| 30.8 | 929 |
| 32.1 | 396 |
| 32.5 | 473 |
| 37.0 | 263 |
| 38.3 | 425 |
| 45.1 | 223 |

Crystal structure
Unit cell a=7.580 b=7.580 c=7.261 alpha=97.34 beta=97.34 gamma=84.37
Element x y z (fractional)
Y 0.138 0.320 0.448
Y 0.320 0.138 0.948
Y 0.680 0.862 0.052
Y 0.862 0.680 0.552
Pb 0.087 0.913 0.250
Pb 0.187 0.623 0.899
Pb 0.377 0.813 0.601
Pb 0.623 0.187 0.399
Pb 0.813 0.377 0.101
Pb 0.913 0.087 0.750
N 0.097 0.194 0.137
N 0.162 0.610 0.568
N 0.194 0.097 0.637
N 0.390 0.838 0.932
N 0.610 0.162 0.068
N 0.806 0.903 0.363
N 0.838 0.390 0.432
N 0.903 0.806 0.863

***

Calculated powder diffractogram
Compound: Y3Pb3N5
Radiation: copper Kα
Structure: a DFT-relaxed cell (GGA-PBE, the Materials Project)

Main lines, in order of rising 2θ (2θ = 5–70°):
| 2θ/deg | I (rel.) |
| --- | --- |
| 18.0 | 132 |
| 18.8 | 142 |
| 23.8 | 339 |
| 27.7 | 465 |
| 30.3 | 532 |
| 30.4 | 817 |
| 30.6 | 1000 |
| 31.3 | 353 |
| 33.5 | 207 |
| 41.2 | 221 |
| 46.0 | 193 |
| 53.9 | 197 |

Crystal structure
Unit cell a=6.442 b=7.004 c=10.337 alpha=73.08 beta=88.85 gamma=88.08
Element x y z (fractional)
Y 0.161 0.450 0.230
Y 0.181 0.162 0.926
Y 0.274 0.540 0.574
Y 0.726 0.460 0.426
Y 0.819 0.838 0.074
Y 0.839 0.550 0.770
Pb 0.217 0.073 0.559
Pb 0.252 0.870 0.262
Pb 0.348 0.682 0.897
Pb 0.652 0.318 0.103
Pb 0.748 0.130 0.738
Pb 0.783 0.927 0.441
N 0.033 0.778 0.608
N 0.082 0.291 0.703
N 0.176 0.826 0.050
N 0.295 0.363 0.041
N 0.391 0.539 0.357
N 0.609 0.461 0.643
N 0.705 0.637 0.959
N 0.824 0.174 0.950
N 0.918 0.709 0.297
N 0.967 0.222 0.392

***

Calculated powder diffractogram
Compound: ZnPb2N2
Radiation: copper Kα
Structure: a DFT-relaxed cell (GGA-PBE, the Materials Project)

Main lines, in order of rising 2θ (2θ = 5–70°):
| 2θ/deg | I (rel.) |
| --- | --- |
| 13.4 | 163 |
| 15.4 | 853 |
| 27.0 | 361 |
| 27.9 | 418 |
| 31.2 | 693 |
| 32.1 | 1000 |
| 41.7 | 195 |
| 42.3 | 290 |
| 48.3 | 180 |
| 51.0 | 159 |
| 56.0 | 186 |
| 60.1 | 224 |

Crystal structure
Unit cell a=3.647 b=11.482 c=6.608 alpha=90.00 beta=90.00 gamma=90.00
Element x y z (fractional)
Zn 0.250 0.250 0.118
Zn 0.750 0.750 0.882
Pb 0.250 0.014 0.769
Pb 0.250 0.486 0.769
Pb 0.750 0.514 0.231
Pb 0.750 0.986 0.231
N 0.250 0.091 0.103
N 0.250 0.409 0.103
N 0.750 0.591 0.897
N 0.750 0.909 0.897

***

Calculated powder diffractogram
Compound: ZnPb2N2
Radiation: copper Kα
Structure: a DFT-relaxed cell (GGA-PBE, the Materials Project)

Main lines, in order of rising 2θ (2θ = 5–70°):
| 2θ/deg | I (rel.) |
| --- | --- |
| 9.5 | 85 |
| 19.2 | 205 |
| 28.9 | 246 |
| 29.7 | 1000 |
| 34.2 | 532 |
| 40.7 | 122 |
| 48.6 | 263 |
| 49.6 | 237 |
| 57.6 | 118 |
| 58.5 | 216 |
| 58.9 | 148 |
| 61.6 | 101 |

Crystal structure
Unit cell a=3.674 b=3.674 c=9.267 alpha=90.00 beta=90.00 gamma=120.00
Element x y z (fractional)
Zn 0.000 0.000 0.000
Pb 0.333 0.667 0.313
Pb 0.667 0.333 0.687
N 0.000 0.000 0.198
N 0.000 0.000 0.802

***

Calculated powder diffractogram
Compound: ZrPb7N6
Radiation: copper Kα
Structure: a DFT-relaxed cell (GGA-PBE, the Materials Project)

Main lines, in order of rising 2θ (2θ = 5–70°):
| 2θ/deg | I (rel.) |
| --- | --- |
| 19.3 | 123 |
| 25.2 | 187 |
| 27.8 | 199 |
| 28.1 | 707 |
| 28.7 | 529 |
| 30.3 | 1000 |
| 34.7 | 157 |
| 35.0 | 279 |
| 39.9 | 153 |
| 46.6 | 113 |
| 50.1 | 116 |
| 51.0 | 180 |

Crystal structure
Unit cell a=12.726 b=7.329 c=13.338 alpha=90.00 beta=90.00 gamma=90.00
Element x y z (fractional)
Zr 0.000 0.165 0.250
Zr 0.000 0.835 0.750
Zr 0.500 0.335 0.750
Zr 0.500 0.665 0.250
Pb 0.000 0.413 0.750
Pb 0.000 0.587 0.250
Pb 0.005 0.233 0.525
Pb 0.005 0.767 0.025
Pb 0.217 0.189 0.116
Pb 0.217 0.811 0.616
Pb 0.236 0.022 0.859
Pb 0.236 0.978 0.359
Pb 0.264 0.478 0.359
Pb 0.264 0.522 0.859
Pb 0.283 0.311 0.616
Pb 0.283 0.689 0.116
Pb 0.495 0.267 0.025
Pb 0.495 0.733 0.525
Pb 0.500 0.087 0.250
Pb 0.500 0.913 0.750
Pb 0.505 0.267 0.475
Pb 0.505 0.733 0.975
Pb 0.717 0.311 0.884
Pb 0.717 0.689 0.384
Pb 0.736 0.478 0.141
Pb 0.736 0.522 0.641
Pb 0.764 0.022 0.641
Pb 0.764 0.978 0.141
Pb 0.783 0.189 0.384
Pb 0.783 0.811 0.884
Pb 0.995 0.233 0.975
Pb 0.995 0.767 0.475
N 0.044 0.045 0.111
N 0.044 0.955 0.611
N 0.120 0.356 0.267
N 0.120 0.644 0.767
N 0.179 0.286 0.956
N 0.179 0.714 0.456
N 0.321 0.214 0.456
N 0.321 0.786 0.956
N 0.380 0.144 0.767
N 0.380 0.856 0.267
N 0.456 0.455 0.611
N 0.456 0.545 0.111
N 0.544 0.455 0.889
N 0.544 0.545 0.389
N 0.620 0.144 0.733
N 0.620 0.856 0.233
N 0.679 0.214 0.044
N 0.679 0.786 0.544
N 0.821 0.286 0.544
N 0.821 0.714 0.044
N 0.880 0.356 0.233
N 0.880 0.644 0.733
N 0.956 0.045 0.389
N 0.956 0.955 0.889

***

Calculated powder diffractogram
Compound: ZrPb4N4
Radiation: copper Kα
Structure: a DFT-relaxed cell (GGA-PBE, the Materials Project)

Main lines, in order of rising 2θ (2θ = 5–70°):
| 2θ/deg | I (rel.) |
| --- | --- |
| 14.5 | 292 |
| 27.4 | 1000 |
| 28.9 | 382 |
| 29.1 | 695 |
| 31.1 | 468 |
| 35.3 | 153 |
| 36.4 | 436 |
| 36.8 | 263 |
| 43.7 | 167 |
| 49.0 | 184 |
| 53.1 | 237 |
| 57.7 | 192 |

Crystal structure
Unit cell a=6.978 b=6.978 c=10.409 alpha=116.58 beta=116.58 gamma=69.08
Element x y z (fractional)
Zr 0.188 0.812 0.750
Zr 0.812 0.188 0.250
Pb 0.014 0.385 0.637
Pb 0.293 0.487 0.047
Pb 0.385 0.014 0.137
Pb 0.487 0.293 0.547
Pb 0.513 0.707 0.453
Pb 0.615 0.986 0.863
Pb 0.707 0.513 0.953
Pb 0.986 0.615 0.363
N 0.113 0.274 0.413
N 0.274 0.113 0.913
N 0.303 0.576 0.854
N 0.424 0.697 0.646
N 0.576 0.303 0.354
N 0.697 0.424 0.146
N 0.726 0.887 0.087
N 0.887 0.726 0.587

***

Calculated powder diffractogram
Compound: PdN
Radiation: copper Kα
Structure: a DFT-relaxed cell (GGA-PBE, the Materials Project)

Main lines, in order of rising 2θ (2θ = 5–70°):
| 2θ/deg | I (rel.) |
| --- | --- |
| 19.6 | 1000 |
| 30.9 | 150 |
| 31.5 | 257 |
| 32.5 | 492 |
| 36.0 | 110 |
| 36.9 | 183 |
| 39.9 | 151 |
| 42.6 | 114 |
| 43.4 | 226 |
| 53.7 | 122 |
| 57.7 | 194 |
| 68.9 | 110 |

Crystal structure
Unit cell a=3.305 b=5.983 c=9.040 alpha=90.00 beta=90.00 gamma=90.00
Element x y z (fractional)
Pd 0.000 0.168 0.250
Pd 0.000 0.832 0.750
Pd 0.500 0.332 0.750
Pd 0.500 0.668 0.250
N 0.000 0.169 0.750
N 0.000 0.831 0.250
N 0.500 0.331 0.250
N 0.500 0.669 0.750

***

Calculated powder diffractogram
Compound: Pd3N2
Radiation: copper Kα
Structure: a DFT-relaxed cell (GGA-PBE, the Materials Project)

Main lines, in order of rising 2θ (2θ = 5–70°):
| 2θ/deg | I (rel.) |
| --- | --- |
| 24.2 | 67 |
| 30.3 | 107 |
| 32.7 | 1000 |
| 36.6 | 528 |
| 39.1 | 876 |
| 43.3 | 755 |
| 48.2 | 68 |
| 50.2 | 29 |
| 58.0 | 535 |
| 59.1 | 101 |
| 62.9 | 237 |
| 67.8 | 35 |

Crystal structure
Unit cell a=2.953 b=2.953 c=7.370 alpha=90.00 beta=90.00 gamma=90.00
Element x y z (fractional)
Pd 0.000 0.000 0.000
Pd 0.500 0.500 0.316
Pd 0.500 0.500 0.684
N 0.000 0.000 0.274
N 0.000 0.000 0.726

***

Calculated powder diffractogram
Compound: PdN
Radiation: copper Kα
Structure: a DFT-relaxed cell (GGA-PBE, the Materials Project)

Main lines, in order of rising 2θ (2θ = 5–70°):
| 2θ/deg | I (rel.) |
| --- | --- |
| 32.2 | 852 |
| 46.2 | 1000 |
| 57.4 | 226 |
| 67.4 | 152 |

Crystal structure
Unit cell a=2.778 b=2.778 c=2.778 alpha=90.00 beta=90.00 gamma=90.00
Element x y z (fractional)
Pd 0.000 0.000 0.000
N 0.500 0.500 0.500

***

Calculated powder diffractogram
Compound: PdN
Radiation: copper Kα
Structure: a DFT-relaxed cell (GGA-PBE, the Materials Project)

Main lines, in order of rising 2θ (2θ = 5–70°):
| 2θ/deg | I (rel.) |
| --- | --- |
| 31.1 | 360 |
| 34.3 | 970 |
| 47.0 | 1000 |
| 61.5 | 235 |
| 64.8 | 66 |

Crystal structure
Unit cell a=3.017 b=3.017 c=2.879 alpha=90.00 beta=90.00 gamma=120.00
Element x y z (fractional)
Pd 0.000 0.000 0.000
N 0.333 0.667 0.500

***

Calculated powder diffractogram
Compound: PdN
Radiation: copper Kα
Structure: a DFT-relaxed cell (GGA-PBE, the Materials Project)

Main lines, in order of rising 2θ (2θ = 5–70°):
| 2θ/deg | I (rel.) |
| --- | --- |
| 32.7 | 1000 |
| 37.9 | 378 |
| 54.7 | 404 |
| 65.2 | 390 |
| 68.5 | 92 |

Crystal structure
Unit cell a=4.746 b=4.746 c=4.746 alpha=90.00 beta=90.00 gamma=90.00
Element x y z (fractional)
Pd 0.000 0.000 0.000
Pd 0.000 0.500 0.500
Pd 0.500 0.000 0.500
Pd 0.500 0.500 0.000
N 0.250 0.250 0.250
N 0.250 0.750 0.750
N 0.750 0.250 0.750
N 0.750 0.750 0.250